[1]
Diffraction record for MgGa3Co3. The powder diffraction line list is theoretical, not measured: it uses the GGA-PBE geometry in Alexandria and a wavelength of 1.5418 Å.

Principal peaks in the range 2θ = 10–80°, by intensity:
2θ (°), Rel. int.
34.3, 100.0
19.6, 95.0
49.2, 64.1
53.5, 53.2
27.8, 43.6
57.5, 37.9
44.7, 21.5
39.8, 15.2
65.1, 14.2
75.7, 12.4

Atomic structure:
```
data_MgGa3Co3
_cell_length_a 6.410
_cell_length_b 6.410
_cell_length_c 6.410
_cell_angle_alpha 90.00
_cell_angle_beta 90.00
_cell_angle_gamma 90.00
_space_group_name_H-M_alt 'P 1'
_space_group_IT_number 1
loop_
_space_group_symop_operation_xyz
'x,y,z'
loop_
_atom_site_label
_atom_site_type_symbol
_atom_site_fract_x
_atom_site_fract_y
_atom_site_fract_z
_atom_site_occupancy
Mg1 Mg 0.000 0.000 0.000 1
Mg2 Mg 0.500 0.500 0.500 1
Ga1 Ga 0.000 0.250 0.500 1
Ga2 Ga 0.000 0.750 0.500 1
Ga3 Ga 0.250 0.500 0.000 1
Ga4 Ga 0.500 0.000 0.250 1
Ga5 Ga 0.500 0.000 0.750 1
Ga6 Ga 0.750 0.500 0.000 1
Co1 Co 0.000 0.500 0.250 1
Co2 Co 0.000 0.500 0.750 1
Co3 Co 0.250 0.000 0.500 1
Co4 Co 0.500 0.250 0.000 1
Co5 Co 0.500 0.750 0.000 1
Co6 Co 0.750 0.000 0.500 1
```


[2]
Diffraction record for K2Fe2SeS3. The powder diffraction line list is theoretical, not measured: it uses the GGA-PBE geometry in Alexandria and a wavelength of 1.5418 Å.

Principal peaks in the range 2θ = 10–80°, by intensity:
2θ (°), Rel. int.
15.7, 100.0
27.1, 67.8
15.5, 65.0
31.2, 43.8
30.1, 43.1
27.8, 31.4
42.2, 31.3
54.2, 26.8
39.4, 17.8
34.6, 16.3

Atomic structure:
```
data_K2Fe2SeS3
_cell_length_a 5.439
_cell_length_b 6.667
_cell_length_c 6.807
_cell_angle_alpha 116.84
_cell_angle_beta 105.04
_cell_angle_gamma 98.34
_space_group_name_H-M_alt 'P 1'
_space_group_IT_number 1
loop_
_space_group_symop_operation_xyz
'x,y,z'
loop_
_atom_site_label
_atom_site_type_symbol
_atom_site_fract_x
_atom_site_fract_y
_atom_site_fract_z
_atom_site_occupancy
K1 K 0.000 0.000 0.000 1
K2 K 0.463 0.312 0.742 1
Fe1 Fe 0.470 0.653 0.366 1
Fe2 Fe 0.977 0.648 0.369 1
Se1 Se 0.802 0.963 0.430 1
S1 S 0.105 0.542 0.067 1
S2 S 0.341 0.753 0.668 1
S3 S 0.649 0.367 0.303 1
```


[3]
Diffraction record for Na3Zn2F7. The powder diffraction line list is theoretical, not measured: it uses the GGA-PBE geometry in Alexandria and a wavelength of 1.5418 Å.

Principal peaks in the range 2θ = 10–80°, by intensity:
2θ (°), Rel. int.
17.6, 100.0
31.6, 84.0
21.9, 69.0
43.8, 63.0
31.0, 59.8
45.9, 54.1
22.5, 53.7
45.1, 47.2
35.1, 41.9
28.7, 34.8

Atomic structure:
```
data_Na3Zn2F7
_cell_length_a 10.270
_cell_length_b 10.270
_cell_length_c 3.956
_cell_angle_alpha 90.00
_cell_angle_beta 90.00
_cell_angle_gamma 156.77
_space_group_name_H-M_alt 'P 1'
_space_group_IT_number 1
loop_
_space_group_symop_operation_xyz
'x,y,z'
loop_
_atom_site_label
_atom_site_type_symbol
_atom_site_fract_x
_atom_site_fract_y
_atom_site_fract_z
_atom_site_occupancy
Na1 Na 0.000 0.000 0.000 1
Na2 Na 0.181 0.819 0.000 1
Na3 Na 0.819 0.181 0.000 1
Zn1 Zn 0.398 0.602 0.500 1
Zn2 Zn 0.602 0.398 0.500 1
F1 F 0.098 0.902 0.500 1
F2 F 0.299 0.701 0.500 1
F3 F 0.401 0.599 0.000 1
F4 F 0.500 0.500 0.500 1
F5 F 0.599 0.401 0.000 1
F6 F 0.701 0.299 0.500 1
F7 F 0.902 0.098 0.500 1
```


[4]
Diffraction record for Na2DyTlO4. The powder diffraction line list is theoretical, not measured: it uses the GGA-PBE geometry in Alexandria and a wavelength of 1.5418 Å.

Principal peaks in the range 2θ = 10–80°, by intensity:
2θ (°), Rel. int.
15.7, 100.0
37.2, 78.3
32.0, 40.4
30.7, 35.8
31.7, 21.2
32.4, 19.7
30.9, 18.3
53.1, 17.7
54.1, 17.1
40.4, 16.3

Atomic structure:
```
data_Na2DyTlO4
_cell_length_a 5.857
_cell_length_b 3.424
_cell_length_c 5.985
_cell_angle_alpha 90.00
_cell_angle_beta 109.49
_cell_angle_gamma 90.00
_space_group_name_H-M_alt 'P 1'
_space_group_IT_number 1
loop_
_space_group_symop_operation_xyz
'x,y,z'
loop_
_atom_site_label
_atom_site_type_symbol
_atom_site_fract_x
_atom_site_fract_y
_atom_site_fract_z
_atom_site_occupancy
Na1 Na 0.000 0.000 0.000 1
Na2 Na 0.500 0.500 0.000 1
Dy1 Dy 0.000 0.500 0.500 1
Tl1 Tl 0.500 0.000 0.500 1
O1 O 0.229 0.000 0.719 1
O2 O 0.257 0.500 0.277 1
O3 O 0.743 0.500 0.723 1
O4 O 0.771 0.000 0.281 1
```


[5]
Diffraction record for TaRe3Si. The powder diffraction line list is theoretical, not measured: it uses the GGA-PBE geometry in Alexandria and a wavelength of 1.5418 Å.

Principal peaks in the range 2θ = 10–80°, by intensity:
2θ (°), Rel. int.
35.5, 100.0
41.2, 58.3
71.3, 40.2
59.6, 39.6
75.0, 13.5
20.3, 0.8

Atomic structure:
```
data_TaRe3Si
_cell_length_a 4.385
_cell_length_b 4.385
_cell_length_c 4.385
_cell_angle_alpha 90.00
_cell_angle_beta 90.00
_cell_angle_gamma 90.00
_space_group_name_H-M_alt 'P 1'
_space_group_IT_number 1
loop_
_space_group_symop_operation_xyz
'x,y,z'
loop_
_atom_site_label
_atom_site_type_symbol
_atom_site_fract_x
_atom_site_fract_y
_atom_site_fract_z
_atom_site_occupancy
Ta1 Ta 0.000 0.000 0.000 1
Re1 Re 0.000 0.500 0.500 1
Re2 Re 0.500 0.000 0.500 1
Re3 Re 0.500 0.500 0.000 1
Si1 Si 0.500 0.500 0.500 1
```


[6]
Diffraction record for Pr2Nd5DyEr. The powder diffraction line list is theoretical, not measured: it uses the GGA-PBE geometry in Alexandria and a wavelength of 1.5418 Å.

Principal peaks in the range 2θ = 10–80°, by intensity:
2θ (°), Rel. int.
29.6, 100.0
29.2, 53.1
28.0, 39.5
52.0, 29.0
43.1, 24.2
38.3, 15.1
52.9, 12.4
37.8, 12.1
34.4, 10.8
32.7, 9.7

Atomic structure:
```
data_Pr2Nd5DyEr
_cell_length_a 10.397
_cell_length_b 10.397
_cell_length_c 10.397
_cell_angle_alpha 130.78
_cell_angle_beta 130.78
_cell_angle_gamma 72.16
_space_group_name_H-M_alt 'P 1'
_space_group_IT_number 1
loop_
_space_group_symop_operation_xyz
'x,y,z'
loop_
_atom_site_label
_atom_site_type_symbol
_atom_site_fract_x
_atom_site_fract_y
_atom_site_fract_z
_atom_site_occupancy
Pr1 Pr 0.122 0.622 0.744 1
Pr2 Pr 0.378 0.122 0.500 1
Pr3 Pr 0.622 0.878 0.500 1
Pr4 Pr 0.878 0.378 0.256 1
Nd1 Nd 0.000 0.000 0.000 1
Nd2 Nd 0.075 0.137 0.500 1
Nd3 Nd 0.137 0.637 0.062 1
Nd4 Nd 0.363 0.425 0.500 1
Nd5 Nd 0.425 0.925 0.062 1
Nd6 Nd 0.500 0.500 0.000 1
Nd7 Nd 0.575 0.075 0.938 1
Nd8 Nd 0.637 0.575 0.500 1
Nd9 Nd 0.863 0.363 0.938 1
Nd10 Nd 0.925 0.863 0.500 1
Dy1 Dy 0.250 0.250 0.000 1
Dy2 Dy 0.750 0.750 0.000 1
Er1 Er 0.250 0.750 0.500 1
Er2 Er 0.750 0.250 0.500 1
```


[7]
Diffraction record for PuPa3Tc2. The powder diffraction line list is theoretical, not measured: it uses the GGA-PBE geometry in Alexandria and a wavelength of 1.5418 Å.

Principal peaks in the range 2θ = 10–80°, by intensity:
2θ (°), Rel. int.
30.7, 100.0
36.6, 57.1
33.5, 44.4
36.0, 30.2
40.2, 23.9
52.2, 22.9
42.4, 21.1
60.6, 16.9
44.2, 16.5
32.5, 16.5

Atomic structure:
```
data_PuPa3Tc2
_cell_length_a 6.764
_cell_length_b 6.764
_cell_length_c 5.828
_cell_angle_alpha 90.00
_cell_angle_beta 90.00
_cell_angle_gamma 95.17
_space_group_name_H-M_alt 'P 1'
_space_group_IT_number 1
loop_
_space_group_symop_operation_xyz
'x,y,z'
loop_
_atom_site_label
_atom_site_type_symbol
_atom_site_fract_x
_atom_site_fract_y
_atom_site_fract_z
_atom_site_occupancy
Pu1 Pu 0.167 0.833 0.500 1
Pu2 Pu 0.833 0.167 0.000 1
Pa1 Pa 0.103 0.897 0.939 1
Pa2 Pa 0.210 0.409 0.744 1
Pa3 Pa 0.409 0.210 0.244 1
Pa4 Pa 0.591 0.790 0.744 1
Pa5 Pa 0.790 0.591 0.244 1
Pa6 Pa 0.897 0.103 0.439 1
Tc1 Tc 0.193 0.481 0.236 1
Tc2 Tc 0.481 0.193 0.736 1
Tc3 Tc 0.519 0.807 0.236 1
Tc4 Tc 0.807 0.519 0.736 1
```


[8]
Diffraction record for RbCuNiS2. The powder diffraction line list is theoretical, not measured: it uses the GGA-PBE geometry in Alexandria and a wavelength of 1.5418 Å.

Principal peaks in the range 2θ = 10–80°, by intensity:
2θ (°), Rel. int.
29.8, 100.0
33.1, 69.2
26.3, 42.8
13.1, 41.0
38.6, 35.9
51.0, 34.0
45.3, 30.3
32.7, 21.5
36.2, 19.5
23.1, 18.7

Atomic structure:
```
data_RbCuNiS2
_cell_length_a 7.302
_cell_length_b 7.302
_cell_length_c 5.900
_cell_angle_alpha 90.00
_cell_angle_beta 90.00
_cell_angle_gamma 135.97
_space_group_name_H-M_alt 'P 1'
_space_group_IT_number 1
loop_
_space_group_symop_operation_xyz
'x,y,z'
loop_
_atom_site_label
_atom_site_type_symbol
_atom_site_fract_x
_atom_site_fract_y
_atom_site_fract_z
_atom_site_occupancy
Rb1 Rb 0.250 0.750 0.754 1
Rb2 Rb 0.750 0.250 0.246 1
Cu1 Cu 0.000 0.000 0.000 1
Cu2 Cu 0.500 0.500 0.000 1
Ni1 Ni 0.250 0.250 0.500 1
Ni2 Ni 0.750 0.750 0.500 1
S1 S 0.099 0.901 0.288 1
S2 S 0.401 0.599 0.288 1
S3 S 0.599 0.401 0.712 1
S4 S 0.901 0.099 0.712 1
```